# 1
This entry pairs a crystal structure of Nd2InNi2 with its simulated X-ray diffraction stick pattern. Radiation: Cu Kα (weighted mean of Kα1 and Kα2). Structure: the GGA-PBE geometry in the Materials Project.
Neutral-atom scattering factors, no anomalous dispersion.

Most intense lines, 10 to 80 degrees two-theta, sorted by position:
d_spacing, intensity
3.385, 217
2.698, 1000
2.666, 453
2.541, 833
2.520, 967
2.436, 408
2.388, 416
1.887, 332
1.647, 219
1.623, 327
1.480, 191
1.404, 190

Structural model:
Unit cell a=7.533 b=7.722 c=3.774 alpha=90.00 beta=90.00 gamma=90.00
Sites, in units of the cell vectors:
Nd (0.170, 0.183, 0.000)
Nd (0.330, 0.683, 0.000)
Nd (0.670, 0.317, 0.000)
Nd (0.830, 0.817, 0.000)
In (0.000, 0.500, 0.500)
In (0.500, 0.000, 0.500)
Ni (0.125, 0.890, 0.500)
Ni (0.375, 0.390, 0.500)
Ni (0.625, 0.610, 0.500)
Ni (0.875, 0.110, 0.500)

# 2
This entry pairs a crystal structure of NdInNi with its simulated X-ray diffraction stick pattern. Radiation: Cu Kα (weighted mean of Kα1 and Kα2). Structure: the GGA-PBE geometry in the Materials Project.
Neutral-atom scattering factors, no anomalous dispersion.

Most intense lines, 10 to 80 degrees two-theta, sorted by position:
d_spacing, intensity
2.735, 1000
2.523, 841
2.466, 616
2.175, 191
2.096, 146
1.990, 234
1.809, 127
1.647, 255
1.548, 286
1.468, 104
1.401, 246
1.339, 94

Structural model:
Unit cell a=7.533 b=7.533 c=3.979 alpha=90.00 beta=90.00 gamma=120.00
Sites, in units of the cell vectors:
Nd (0.000, 0.585, 0.000)
Nd (0.415, 0.415, 0.000)
Nd (0.585, 0.000, 0.000)
In (0.000, 0.246, 0.500)
In (0.246, 0.000, 0.500)
In (0.754, 0.754, 0.500)
Ni (0.000, 0.000, 0.000)
Ni (0.333, 0.667, 0.500)
Ni (0.667, 0.333, 0.500)

# 3
This entry pairs a crystal structure of NdInNi with its simulated X-ray diffraction stick pattern. Radiation: Cu Kα (weighted mean of Kα1 and Kα2). Structure: the GGA-PBE geometry in the Materials Project.
Neutral-atom scattering factors, no anomalous dispersion.

Most intense lines, 10 to 80 degrees two-theta, sorted by position:
d_spacing, intensity
2.746, 500
2.733, 1000
2.290, 558
2.268, 271
1.897, 157
1.762, 135
1.749, 258
1.461, 260
1.455, 128
1.397, 119
1.392, 122
1.383, 118

Structural model:
Unit cell a=3.794 b=7.883 c=7.883 alpha=119.36 beta=90.00 gamma=90.00
Sites, in units of the cell vectors:
Nd (0.000, 0.000, 0.000)
Nd (0.000, 0.330, 0.660)
Nd (0.000, 0.660, 0.330)
In (0.500, 0.331, 0.995)
In (0.500, 0.667, 0.667)
In (0.500, 0.995, 0.331)
Ni (0.500, 0.000, 0.666)
Ni (0.500, 0.333, 0.333)
Ni (0.500, 0.666, 0.000)

# 4
This entry pairs a crystal structure of NdInO3 with its simulated X-ray diffraction stick pattern. Radiation: Cu Kα (weighted mean of Kα1 and Kα2). Structure: the GGA-PBE geometry in the Materials Project.
Neutral-atom scattering factors, no anomalous dispersion.

Most intense lines, 10 to 80 degrees two-theta, sorted by position:
d_spacing, intensity
2.939, 1000
2.399, 37
2.078, 296
1.697, 401
1.469, 182
1.314, 172
1.253, 10
1.200, 60

Structural model:
Unit cell a=4.156 b=4.156 c=4.156 alpha=90.00 beta=90.00 gamma=90.00
Sites, in units of the cell vectors:
Nd (0.000, 0.000, 0.000)
In (0.500, 0.500, 0.500)
O (0.000, 0.500, 0.500)
O (0.500, 0.000, 0.500)
O (0.500, 0.500, 0.000)

# 5
This entry pairs a crystal structure of NdInO3 with its simulated X-ray diffraction stick pattern. Radiation: Cu Kα (weighted mean of Kα1 and Kα2). Structure: the GGA-PBE geometry in the Materials Project.
Neutral-atom scattering factors, no anomalous dispersion.

Most intense lines, 10 to 80 degrees two-theta, sorted by position:
d_spacing, intensity
3.690, 99
3.002, 208
2.916, 1000
2.841, 230
2.062, 308
1.840, 98
1.716, 112
1.699, 96
1.668, 114
1.654, 222
1.458, 100
1.303, 88

Structural model:
Unit cell a=6.004 b=8.240 c=5.682 alpha=90.00 beta=90.00 gamma=90.00
Sites, in units of the cell vectors:
Nd (0.063, 0.250, 0.018)
Nd (0.437, 0.750, 0.518)
Nd (0.563, 0.250, 0.482)
Nd (0.937, 0.750, 0.982)
In (0.000, 0.000, 0.500)
In (0.000, 0.500, 0.500)
In (0.500, 0.000, 0.000)
In (0.500, 0.500, 0.000)
O (0.058, 0.750, 0.373)
O (0.191, 0.564, 0.813)
O (0.191, 0.936, 0.813)
O (0.309, 0.064, 0.313)
O (0.309, 0.436, 0.313)
O (0.442, 0.250, 0.873)
O (0.558, 0.750, 0.127)
O (0.691, 0.564, 0.687)
O (0.691, 0.936, 0.687)
O (0.809, 0.064, 0.187)
O (0.809, 0.436, 0.187)
O (0.942, 0.250, 0.627)

# 6
This entry pairs a crystal structure of Nd2In8Pd with its simulated X-ray diffraction stick pattern. Radiation: Cu Kα (weighted mean of Kα1 and Kα2). Structure: the GGA-PBE geometry in the Materials Project.
Neutral-atom scattering factors, no anomalous dispersion.

Most intense lines, 10 to 80 degrees two-theta, sorted by position:
d_spacing, intensity
4.735, 48
2.947, 298
2.604, 1000
2.485, 163
2.368, 526
2.277, 80
1.714, 206
1.674, 177
1.559, 62
1.456, 68
1.408, 419
1.388, 101

Structural model:
Unit cell a=4.735 b=4.735 c=12.423 alpha=90.00 beta=90.00 gamma=90.00
Sites, in units of the cell vectors:
Nd (0.000, 0.000, 0.191)
Nd (0.000, 0.000, 0.809)
In (0.000, 0.500, 0.000)
In (0.000, 0.500, 0.377)
In (0.000, 0.500, 0.623)
In (0.500, 0.000, 0.000)
In (0.500, 0.000, 0.377)
In (0.500, 0.000, 0.623)
In (0.500, 0.500, 0.192)
In (0.500, 0.500, 0.808)
Pd (0.000, 0.000, 0.500)

# 7
This entry pairs a crystal structure of Nd4In21Pd10 with its simulated X-ray diffraction stick pattern. Radiation: Cu Kα (weighted mean of Kα1 and Kα2). Structure: the GGA-PBE geometry in the Materials Project.
Neutral-atom scattering factors, no anomalous dispersion.

Most intense lines, 10 to 80 degrees two-theta, sorted by position:
d_spacing, intensity
2.725, 456
2.689, 221
2.679, 661
2.649, 1000
2.637, 340
2.426, 250
2.336, 207
2.269, 865
2.247, 334
2.188, 199
2.149, 219
2.128, 292

Structural model:
Unit cell a=11.905 b=11.905 c=17.489 alpha=123.11 beta=123.11 gamma=21.98
Sites, in units of the cell vectors:
Nd (0.122, 0.122, 0.333)
Nd (0.230, 0.230, 0.826)
Nd (0.770, 0.770, 0.174)
Nd (0.878, 0.878, 0.667)
In (0.011, 0.011, 0.094)
In (0.064, 0.064, 0.797)
In (0.115, 0.115, 0.551)
In (0.202, 0.202, 0.004)
In (0.251, 0.251, 0.295)
In (0.299, 0.299, 0.499)
In (0.369, 0.369, 0.800)
In (0.384, 0.384, 0.296)
In (0.399, 0.399, 0.004)
In (0.458, 0.458, 0.632)
In (0.500, 0.500, 0.500)
In (0.542, 0.542, 0.368)
In (0.601, 0.601, 0.996)
In (0.616, 0.616, 0.704)
In (0.631, 0.631, 0.200)
In (0.701, 0.701, 0.501)
In (0.749, 0.749, 0.705)
In (0.798, 0.798, 0.996)
In (0.885, 0.885, 0.449)
In (0.936, 0.936, 0.203)
In (0.989, 0.989, 0.906)
Pd (0.025, 0.025, 0.612)
Pd (0.138, 0.138, 0.107)
Pd (0.250, 0.250, 0.615)
Pd (0.346, 0.346, 0.114)
Pd (0.494, 0.494, 0.813)
Pd (0.506, 0.506, 0.187)
Pd (0.654, 0.654, 0.886)
Pd (0.750, 0.750, 0.385)
Pd (0.862, 0.862, 0.893)
Pd (0.975, 0.975, 0.388)

# 8
This entry pairs a crystal structure of NdInPd with its simulated X-ray diffraction stick pattern. Radiation: Cu Kα (weighted mean of Kα1 and Kα2). Structure: the GGA-PBE geometry in the Materials Project.
Neutral-atom scattering factors, no anomalous dispersion.

Most intense lines, 10 to 80 degrees two-theta, sorted by position:
d_spacing, intensity
2.776, 1000
2.679, 288
2.585, 494
2.362, 655
2.185, 239
1.890, 173
1.799, 131
1.544, 106
1.494, 290
1.476, 292
1.363, 89
1.327, 103

Structural model:
Unit cell a=8.184 b=8.184 c=3.779 alpha=90.00 beta=90.00 gamma=120.00
Sites, in units of the cell vectors:
Nd (0.000, 0.718, 0.000)
Nd (0.282, 0.282, 0.000)
Nd (0.718, 0.000, 0.000)
In (0.000, 0.383, 0.500)
In (0.383, 0.000, 0.500)
In (0.617, 0.617, 0.500)
Pd (0.000, 0.000, 0.500)
Pd (0.333, 0.667, 0.000)
Pd (0.667, 0.333, 0.000)